(1)
Computed powder diffraction line list of LiCu2BiO4 for λ = 1.5418 Å (Cu Kα), from a structure optimized by DFT (GGA-PBE).
Kinematic intensities with the Lorentz-polarization factor, no thermal factor.

The 10 most intense peaks (2θ from 10° to 80°), in order of rising 2θ:
| 2θ/deg | d_spacing | I/Imax |
| --- | --- | --- |
| 18.13 | 4.892 | 639 |
| 27.61 | 3.231 | 535 |
| 33.23 | 2.696 | 1000 |
| 36.74 | 2.446 | 259 |
| 41.27 | 2.188 | 202 |
| 46.09 | 1.969 | 139 |
| 46.57 | 1.950 | 258 |
| 52.94 | 1.730 | 177 |
| 57.01 | 1.615 | 265 |
| 63.95 | 1.456 | 299 |

Cell: 6.9182 6.9182 4.3024 Å, 90.00 90.00 90.00°
Fractional coordinates of all 16 atoms:
Li: 0.2500 0.7500 0.0000
Li: 0.7500 0.2500 0.0000
Cu: 0.0000 0.0000 0.5000
Cu: 0.0000 0.5000 0.5000
Cu: 0.5000 0.0000 0.5000
Cu: 0.5000 0.5000 0.5000
Bi: 0.2500 0.2500 0.0193
Bi: 0.7500 0.7500 0.9807
O: 0.0215 0.7500 0.7107
O: 0.2500 0.5215 0.2893
O: 0.2500 0.9785 0.2893
O: 0.4785 0.7500 0.7107
O: 0.5215 0.2500 0.2893
O: 0.7500 0.0215 0.7107
O: 0.7500 0.4785 0.7107
O: 0.9785 0.2500 0.2893

(2)
Computed powder diffraction line list of Li2CuBiO4 for λ = 1.5418 Å (Cu Kα), from a structure optimized by DFT (GGA-PBE).
Kinematic intensities with the Lorentz-polarization factor, no thermal factor.

The 10 most intense peaks (2θ from 10° to 80°), in order of rising 2θ:
| 2θ/deg | d_spacing | I/Imax |
| --- | --- | --- |
| 20.04 | 4.431 | 129 |
| 22.31 | 3.985 | 1000 |
| 28.29 | 3.155 | 116 |
| 34.91 | 2.570 | 355 |
| 36.48 | 2.463 | 286 |
| 40.44 | 2.231 | 300 |
| 40.72 | 2.216 | 145 |
| 46.67 | 1.946 | 296 |
| 55.58 | 1.653 | 174 |
| 58.74 | 1.572 | 187 |

Cell: 5.4395 5.4395 5.4395 Å, 131.58 131.58 70.89°
Fractional coordinates of all 8 atoms:
Li: 0.0000 0.0000 0.0000
Li: 0.7500 0.2500 0.5000
Cu: 0.2500 0.7500 0.5000
Bi: 0.5000 0.5000 0.0000
O: 0.0159 0.5159 0.5000
O: 0.2485 0.2485 0.0000
O: 0.4841 0.9841 0.5000
O: 0.7515 0.7515 0.0000

(3)
Computed powder diffraction line list of Mg14CuBi for λ = 1.5418 Å (Cu Kα), from a structure optimized by DFT (GGA-PBE).
Kinematic intensities with the Lorentz-polarization factor, no thermal factor.

The 10 most intense peaks (2θ from 10° to 80°), in order of rising 2θ:
| 2θ/deg | d_spacing | I/Imax |
| --- | --- | --- |
| 16.11 | 5.503 | 598 |
| 18.31 | 4.847 | 315 |
| 23.74 | 3.748 | 489 |
| 32.54 | 2.751 | 315 |
| 33.19 | 2.699 | 215 |
| 35.07 | 2.559 | 244 |
| 37.10 | 2.423 | 1000 |
| 38.79 | 2.321 | 185 |
| 48.59 | 1.874 | 204 |
| 69.67 | 1.350 | 188 |

Cell: 6.3538 6.3538 10.2359 Å, 90.00 90.00 120.00°
Fractional coordinates of all 16 atoms:
Mg: 0.0000 0.0000 0.2465
Mg: 0.0000 0.0000 0.7535
Mg: 0.0021 0.5010 0.2631
Mg: 0.0021 0.5010 0.7369
Mg: 0.3271 0.1635 0.5000
Mg: 0.3366 0.1683 0.0000
Mg: 0.4990 0.5010 0.2631
Mg: 0.4990 0.5010 0.7369
Mg: 0.4990 0.9979 0.2631
Mg: 0.4990 0.9979 0.7369
Mg: 0.8317 0.1683 0.0000
Mg: 0.8317 0.6634 0.0000
Mg: 0.8365 0.1635 0.5000
Mg: 0.8365 0.6729 0.5000
Cu: 0.3333 0.6667 0.5000
Bi: 0.3333 0.6667 0.0000

(4)
Computed powder diffraction line list of Mn3Cu4Bi4 for λ = 1.5418 Å (Cu Kα), from a structure optimized by DFT (GGA-PBE).
Kinematic intensities with the Lorentz-polarization factor, no thermal factor.

The 10 most intense peaks (2θ from 10° to 80°), in order of rising 2θ:
| 2θ/deg | d_spacing | I/Imax |
| --- | --- | --- |
| 25.58 | 3.482 | 745 |
| 29.63 | 3.015 | 489 |
| 32.35 | 2.767 | 233 |
| 38.79 | 2.321 | 494 |
| 42.39 | 2.132 | 1000 |
| 50.17 | 1.818 | 246 |
| 58.81 | 1.570 | 187 |
| 61.51 | 1.508 | 125 |
| 63.09 | 1.474 | 118 |
| 77.55 | 1.231 | 167 |

Cell: 8.5287 8.5287 8.5287 Å, 60.00 60.00 60.00°
Fractional coordinates of all 22 atoms:
Mn: 0.0000 0.0000 0.5000
Mn: 0.0000 0.5000 0.0000
Mn: 0.0000 0.5000 0.5000
Mn: 0.5000 0.0000 0.0000
Mn: 0.5000 0.0000 0.5000
Mn: 0.5000 0.5000 0.0000
Cu: 0.1097 0.1097 0.1097
Cu: 0.1097 0.1097 0.6709
Cu: 0.1097 0.6709 0.1097
Cu: 0.3291 0.8903 0.8903
Cu: 0.6709 0.1097 0.1097
Cu: 0.8903 0.3291 0.8903
Cu: 0.8903 0.8903 0.3291
Cu: 0.8903 0.8903 0.8903
Bi: 0.2500 0.2500 0.2500
Bi: 0.2848 0.2848 0.7152
Bi: 0.2848 0.7152 0.2848
Bi: 0.2848 0.7152 0.7152
Bi: 0.7152 0.2848 0.2848
Bi: 0.7152 0.2848 0.7152
Bi: 0.7152 0.7152 0.2848
Bi: 0.7500 0.7500 0.7500